Diffraction record for DyCoH8C6N6O4. The X-ray powder pattern is computed, not measured: it uses a DFT-relaxed cell (PBE+U, OQMD) and λ = 1.5418 Å (Cu Kα).

Top 10 peaks for 10° ≤ 2θ ≤ 90°, low angle first:
d (Å)  intensity
5.618  100
4.528  89
3.599  43
3.570  34
2.542  26
2.530  13
2.440  21
2.430  17
2.305  16
2.070  14

Structural model:
```
data_DyCoH8C6N6O4
_chemical_formula_sum 'Dy2 Co2 H16 C12 N12 O8'
_cell_length_a 7.1396
_cell_length_b 7.1396
_cell_length_c 13.2718
_cell_angle_alpha 90.00
_cell_angle_beta 90.00
_cell_angle_gamma 119.54
_symmetry_space_group_name_H-M 'P 1'
_symmetry_Int_Tables_number 1
_symmetry_space_group_name_Hall 'P 1'
loop_
_atom_site_label
_atom_site_type_symbol
_atom_site_fract_x
_atom_site_fract_y
_atom_site_fract_z
Dy1 Dy 0.1782 0.8218 0.7500
Dy2 Dy 0.8218 0.1782 0.2500
Co1 Co 0.5000 0.5000 0.0000
Co2 Co 0.5000 0.5000 0.5000
H1 H 0.0305 0.6402 0.1895
H2 H 0.0305 0.6402 0.3105
H3 H 0.0799 0.9201 0.0912
H4 H 0.0799 0.9201 0.4088
H5 H 0.1917 0.8083 0.0323
H6 H 0.1917 0.8083 0.4677
H7 H 0.3598 0.9695 0.1895
H8 H 0.3598 0.9695 0.3105
H9 H 0.6402 0.0305 0.6895
H10 H 0.6402 0.0305 0.8105
H11 H 0.8083 0.1917 0.5323
H12 H 0.8083 0.1917 0.9677
H13 H 0.9201 0.0799 0.5912
H14 H 0.9201 0.0799 0.9088
H15 H 0.9695 0.3598 0.6895
H16 H 0.9695 0.3598 0.8105
C1 C 0.2736 0.3603 0.0891
C2 C 0.2736 0.3603 0.4109
C3 C 0.3603 0.2736 0.5891
C4 C 0.3603 0.2736 0.9109
C5 C 0.3630 0.6370 0.5551
C6 C 0.3630 0.6370 0.9449
C7 C 0.6370 0.3630 0.0551
C8 C 0.6370 0.3630 0.4449
C9 C 0.6397 0.7264 0.0891
C10 C 0.6397 0.7264 0.4109
C11 C 0.7264 0.6397 0.5891
C12 C 0.7264 0.6397 0.9109
N1 N 0.1259 0.2710 0.1428
N2 N 0.1259 0.2710 0.3572
N3 N 0.2710 0.1259 0.6428
N4 N 0.2710 0.1259 0.8572
N5 N 0.2750 0.7250 0.5885
N6 N 0.2750 0.7250 0.9115
N7 N 0.7250 0.2750 0.0885
N8 N 0.7250 0.2750 0.4115
N9 N 0.7290 0.8741 0.1428
N10 N 0.7290 0.8741 0.3572
N11 N 0.8741 0.7290 0.6428
N12 N 0.8741 0.7290 0.8572
O1 O 0.0294 0.4526 0.7500
O2 O 0.1586 0.8414 0.1000
O3 O 0.1586 0.8414 0.4000
O4 O 0.4526 0.0294 0.2500
O5 O 0.5474 0.9706 0.7500
O6 O 0.8414 0.1586 0.6000
O7 O 0.8414 0.1586 0.9000
O8 O 0.9706 0.5474 0.2500
```